Computed XRD peak list of Li4Zr2O5 for a wavelength of 1.5418 Å, from DFT lattice parameters and positions (GGA-PBE).
Lines closer than 0.1° are merged.

Largest 12 diffraction maxima, by angle, 5 to 70 degrees two-theta:
2θ = 13.67°, rel. 683, (0 2 0); 2θ = 20.92°, rel. 1000, (0 0 1); 2θ = 21.64°, rel. 565, (1 1 0); 2θ = 29.20°, rel. 576, (1 3 0); 2θ = 30.27°, rel. 212, (1 1 1); 2θ = 36.20°, rel. 391, (1 3 1); 2θ = 41.71°, rel. 346, (2 0 0); 2θ = 41.84°, rel. 339, (0 6 0); 2θ = 42.58°, rel. 325, (0 0 2); 2θ = 47.11°, rel. 216, (2 0 1); 2θ = 52.46°, rel. 222, (1 3 2); 2θ = 61.17°, rel. 394, (2 0 2)

Atomic structure:
```
data_Li4Zr2O5
_space_group_name_H-M_alt 'C m m m'
_space_group_IT_number 65
_space_group_name_Hall '-C 2 2'
_cell_length_a 4.331
_cell_length_b 12.955
_cell_length_c 4.247
_cell_angle_alpha 90.00
_cell_angle_beta 90.00
_cell_angle_gamma 90.00
loop_
_atom_site_label
_atom_site_type_symbol
_atom_site_fract_x
_atom_site_fract_y
_atom_site_fract_z
_atom_site_occupancy
Li1 Li 0.000 0.000 0.000 1
Li2 Li 0.000 0.169 0.500 1
Li3 Li 0.000 0.500 0.500 1
Zr1 Zr 0.000 0.336 0.000 1
O1 O 0.000 0.160 0.000 1
O2 O 0.000 0.335 0.500 1
O3 O 0.000 0.500 0.000 1
```